For LiMo2P3O13, a PBE+U-relaxed structure gives the theoretical powder X-ray diffraction pattern in this record (CuKα).
Intensities are scaled so that the largest is 1000.

Peak list (10 most intense, 2θ from 15° to 90°, in order of rising 2θ)
two_theta, I (rel.)
17.33, 1000
20.25, 155
20.64, 384
23.62, 116
27.58, 246
28.39, 202
29.00, 161
31.25, 239
32.15, 138
48.07, 125

Atomic structure:
Cell lengths 9.2497, 9.2497, 8.3359 Å; angles 108.50, 108.50, 111.10 degrees
Sites, in units of the cell vectors:
Li: 0.0000 0.5000 0.0000
Li: 0.5000 0.0000 0.5000
Mo: 0.1582 0.3399 0.3239
Mo: 0.3399 0.1582 0.8239
Mo: 0.6601 0.8418 0.1761
Mo: 0.8418 0.6601 0.6761
P: 0.1649 0.7363 0.5515
P: 0.2637 0.8351 0.9485
P: 0.4945 0.5055 0.2500
P: 0.5055 0.4945 0.7500
P: 0.7363 0.1649 0.0515
P: 0.8351 0.2637 0.4485
O: 0.0212 0.3085 0.4762
O: 0.0734 0.7250 0.9153
O: 0.1389 0.1421 0.7495
O: 0.1421 0.1389 0.2495
O: 0.1644 0.6043 0.3883
O: 0.2655 0.7345 0.7500
O: 0.2750 0.9266 0.5847
O: 0.2967 0.4296 0.1976
O: 0.3085 0.0212 0.9762
O: 0.3911 0.4999 0.5745
O: 0.3957 0.8356 0.1117
O: 0.4296 0.2967 0.6976
O: 0.4999 0.3911 0.0745
O: 0.5001 0.6089 0.9255
O: 0.5704 0.7033 0.3024
O: 0.6043 0.1644 0.8883
O: 0.6089 0.5001 0.4255
O: 0.6915 0.9788 0.0238
O: 0.7033 0.5704 0.8024
O: 0.7250 0.0734 0.4153
O: 0.7345 0.2655 0.2500
O: 0.8356 0.3957 0.6117
O: 0.8579 0.8611 0.7505
O: 0.8611 0.8579 0.2505
O: 0.9266 0.2750 0.0847
O: 0.9788 0.6915 0.5238